Simulated powder diffractogram of LiMn2F5 for Cu Ka, from a cell relaxed with GGA+U.

Top 10 peaks for 10° ≤ 2θ ≤ 80°, most intense first:
Position (°2θ)	I (rel.)	(hkl)
36.48	100	2 0 2
43.52	70	1 0 -4
17.82	53	0 1 1
46.28	50	3 0 -2
47.53	43	1 -4 0
20.09	43	1 1 0
20.54	39	-1 1 1
28.09	31	2 -1 0
24.52	30	1 -1 2
54.85	28	0 4 -4

Structure:
```
data_LiMn2F5
_chemical_formula_sum 'Li4 Mn8 F20'
_cell_length_a 6.504
_cell_length_b 8.005
_cell_length_c 8.957
_cell_angle_alpha 106.35
_cell_angle_beta 91.06
_cell_angle_gamma 101.27
_symmetry_space_group_name_H-M 'P -1'
_symmetry_Int_Tables_number 2
loop_
_symmetry_equiv_pos_as_xyz
'x,y,z'
'-x,-y,-z'
loop_
_atom_site_label
_atom_site_fract_x
_atom_site_fract_y
_atom_site_fract_z
Li1 0.212 0.446 0.286
Li2 0.215 0.159 0.818
Mn1 0.152 0.787 0.533
Mn2 0.186 0.794 0.042
Mn3 0.380 0.567 0.825
Mn4 0.387 0.120 0.360
F1 0.005 0.232 0.766
F2 0.005 0.268 0.244
F3 0.206 0.564 0.531
F4 0.213 0.041 0.566
F5 0.218 0.572 0.052
F6 0.232 0.036 0.055
F7 0.376 0.816 0.809
F8 0.380 0.869 0.366
F9 0.401 0.352 0.333
F10 0.402 0.349 0.891
```